Record 1
For Cu14SiGe, a crystal structure in Alexandria, relaxed with GGA-PBE gives the computed powder X-ray diffraction pattern in this record (λ = 1.5418 Å (Cu Kα)).

Main lines, in order of rising 2θ (15 to 90 degrees two-theta):
d (Å), Rel. int., (hkl)
2.190, 39.8, 1 2 2
2.164, 20.2, 1 0 4
2.075, 48.7, 4 0 0
1.992, 100.0, 2 2 2
1.972, 45.7, 2 0 4
1.755, 19.5, 3 2 2
1.742, 9.9, 3 0 4
1.299, 18.9, 0 2 6
1.181, 15.8, 6 2 2
1.112, 11.3, 4 4 0
1.101, 21.9, 4 2 6
1.095, 11.9, 2 4 4

Atomic structure:
a = 8.3016 Å, b = 5.2654 Å, c = 8.9639 Å
α = 90.00°, β = 90.00°, γ = 90.00°
Space group Amm2 (No. 38)
Asymmetric unit:
Cu1 0.0000 0.0000 0.9998
Cu2 0.0000 0.0000 0.5000
Cu3 0.0000 0.2483 0.2498
Cu4 0.2452 0.0000 0.6695
Cu5 0.2489 0.2468 0.4204
Cu6 0.2507 0.0000 0.1708
Cu7 0.5000 0.2489 0.5860
Si1 0.5000 0.0000 0.3351
Ge1 0.5000 0.0000 0.8353

=====

Record 2
For CeNdGdAl, a crystal structure in Alexandria, relaxed with GGA-PBE gives the computed powder X-ray diffraction pattern in this record (λ = 1.5418 Å (Cu Kα)).

Main lines, in order of rising 2θ (15 to 90 degrees two-theta):
d (Å), Rel. int., (hkl)
4.381, 13.4, 1 1 1
3.794, 9.8, 2 0 0
2.683, 100.0, 2 2 0
2.288, 7.5, 3 1 1
2.190, 3.1, 2 2 2
1.897, 18.1, 4 0 0
1.741, 3.3, 3 3 1
1.697, 4.2, 4 2 0
1.549, 37.6, 4 2 2
1.341, 11.6, 4 4 0
1.200, 16.2, 6 2 0
1.095, 4.2, 4 4 4

Atomic structure:
a = 7.5878 Å, b = 7.5878 Å, c = 7.5878 Å
α = 90.00°, β = 90.00°, γ = 90.00°
Space group F-43m (No. 216)
Asymmetric unit:
Ce1 0.0000 0.0000 0.0000
Nd1 0.2500 0.2500 0.7500
Gd1 0.2500 0.2500 0.2500
Al1 0.0000 0.0000 0.5000

=====

Record 3
For Er8Ge3Te4P, a crystal structure in Alexandria, relaxed with GGA-PBE gives the computed powder X-ray diffraction pattern in this record (λ = 1.5418 Å (Cu Kα)).

Main lines, in order of rising 2θ (15 to 90 degrees two-theta):
d (Å), Rel. int., (hkl)
3.422, 10.5, 2 0 2
2.981, 100.0, 0 2 4
2.744, 9.3, 2 0 5
2.127, 33.1, 2 0 8
2.089, 38.5, 2 2 0
1.711, 19.6, 4 0 4
1.558, 7.3, 2 2 9
1.491, 10.6, 0 4 8
1.343, 11.4, 2 2 12
1.324, 16.6, 2 4 4
1.213, 10.8, 4 2 8
1.206, 9.0, 6 0 0

Atomic structure:
a = 8.3574 Å, b = 8.3574 Å, c = 21.0355 Å
α = 90.00°, β = 90.00°, γ = 120.00°
Space group R-3m (No. 166, hexagonal axes)
Asymmetric unit:
Er1 0.0000 0.0000 0.2398
Er2 0.0010 0.5005 0.2386
Ge1 0.0000 0.5000 0.5000
Te1 0.0000 0.0000 0.0000
Te2 0.0000 0.5000 0.0000
P1 0.0000 0.0000 0.5000